The following is a calculated powder diffraction line list of La6Pm16Ho7. It was derived from a crystal structure in Alexandria, relaxed with GGA-PBE, using copper Kα.

Main lines, in order of rising 2θ (2θ from 5° to 70°):
hkl  d (Å)  two_theta  I (rel.)
4 2 2  3.279  27.20  8
3 3 3  3.091  28.88  19
4 4 0  2.839  31.51  100
5 3 1  2.715  32.99  7
7 3 1  2.091  43.27  9
8 0 0  2.008  45.16  13
7 5 3  1.763  51.86  7
8 4 4  1.639  56.11  22
9 3 3  1.614  57.05  7
7 7 3  1.553  59.54  8

Cell and atoms:
```
data_La6Pm16Ho7
_chemical_formula_sum 'La24 Pm64 Ho28'
_symmetry_space_group_name_H-M 'F m -3 m'
_symmetry_Int_Tables_number 225
_symmetry_space_group_name_Hall '-F 4 2 3'
_cell_length_a 16.0615
_cell_length_b 16.0615
_cell_length_c 16.0615
_cell_angle_alpha 90.00
_cell_angle_beta 90.00
_cell_angle_gamma 90.00
loop_
_atom_site_label
_atom_site_type_symbol
_atom_site_fract_x
_atom_site_fract_y
_atom_site_fract_z
_atom_site_occupancy
La1 La 0.0000 0.0000 0.2161 1
Pm1 Pm 0.1245 0.1245 0.3755 1
Pm2 Pm 0.1533 0.1533 0.1533 1
Ho1 Ho 0.0000 0.0000 0.5000 1
Ho2 Ho 0.0000 0.2500 0.2500 1
```

The following is a calculated powder diffraction line list of La12PmHo5. It was derived from a crystal structure in Alexandria, relaxed with GGA-PBE, using copper Kα.

Main lines, in order of rising 2θ (2θ from 5° to 70°):
hkl  d (Å)  two_theta  I (rel.)
0 6 0  3.039  29.39  30
0 0 2  3.028  29.50  30
3 3 1  2.865  31.22  100
0 6 2  2.145  42.13  22
6 0 0  1.924  47.24  7
3 9 1  1.719  53.28  22
3 3 3  1.715  53.43  22
6 6 0  1.626  56.61  9
6 0 2  1.624  56.68  9
6 6 2  1.432  65.12  11

Cell and atoms:
```
data_La12PmHo5
_chemical_formula_sum 'La24 Pm2 Ho10'
_symmetry_space_group_name_H-M 'C m m m'
_symmetry_Int_Tables_number 65
_symmetry_space_group_name_Hall '-C 2 2'
_cell_length_a 11.5455
_cell_length_b 18.2370
_cell_length_c 6.0554
_cell_angle_alpha 90.00
_cell_angle_beta 90.00
_cell_angle_gamma 90.00
loop_
_atom_site_label
_atom_site_type_symbol
_atom_site_fract_x
_atom_site_fract_y
_atom_site_fract_z
_atom_site_occupancy
La1 La 0.1553 0.1711 0.0000 1
La2 La 0.1560 0.0000 0.5000 1
La3 La 0.1574 0.3326 0.5000 1
La4 La 0.1604 0.5000 0.0000 1
Pm1 Pm 0.0000 0.0000 0.0000 1
Ho1 Ho 0.0000 0.1661 0.5000 1
Ho2 Ho 0.0000 0.3370 0.0000 1
Ho3 Ho 0.0000 0.5000 0.5000 1
```

Please write out number 1 again, unchanged.
The following is a calculated powder diffraction line list of La6Pm16Ho7. It was derived from a crystal structure in Alexandria, relaxed with GGA-PBE, using copper Kα.

Main lines, in order of rising 2θ (2θ from 5° to 70°):
hkl  d (Å)  two_theta  I (rel.)
4 2 2  3.279  27.20  8
3 3 3  3.091  28.88  19
4 4 0  2.839  31.51  100
5 3 1  2.715  32.99  7
7 3 1  2.091  43.27  9
8 0 0  2.008  45.16  13
7 5 3  1.763  51.86  7
8 4 4  1.639  56.11  22
9 3 3  1.614  57.05  7
7 7 3  1.553  59.54  8

Cell and atoms:
```
data_La6Pm16Ho7
_chemical_formula_sum 'La24 Pm64 Ho28'
_symmetry_space_group_name_H-M 'F m -3 m'
_symmetry_Int_Tables_number 225
_symmetry_space_group_name_Hall '-F 4 2 3'
_cell_length_a 16.0615
_cell_length_b 16.0615
_cell_length_c 16.0615
_cell_angle_alpha 90.00
_cell_angle_beta 90.00
_cell_angle_gamma 90.00
loop_
_atom_site_label
_atom_site_type_symbol
_atom_site_fract_x
_atom_site_fract_y
_atom_site_fract_z
_atom_site_occupancy
La1 La 0.0000 0.0000 0.2161 1
Pm1 Pm 0.1245 0.1245 0.3755 1
Pm2 Pm 0.1533 0.1533 0.1533 1
Ho1 Ho 0.0000 0.0000 0.5000 1
Ho2 Ho 0.0000 0.2500 0.2500 1
```

- What is the formula in the second record?
  La12PmHo5